(1)
Structure and theoretical powder diffraction line list of Y5ScAg6 (a DFT-relaxed cell (PBE, Alexandria); Cu Kα, 1.54184 Å).
Lines closer than 0.1° are merged.

Most intense lines, 2θ = 10–80°, by angle:
2theta	intensity
24.55	3
24.83	1
34.99	51
35.20	100
50.32	17
50.93	8
62.89	34
63.29	17
73.92	5
74.41	10

abc: 8.1093 8.1093 7.1719
angles: 90.00 90.00 143.13
Sites, in units of the cell vectors:
Y: 0.0000 0.0000 0.0000
Y: 0.3315 0.6685 0.0000
Y: 0.3346 0.6654 0.5000
Y: 0.6654 0.3346 0.5000
Y: 0.6685 0.3315 0.0000
Sc: 0.0000 0.0000 0.5000
Ag: 0.1618 0.8382 0.2573
Ag: 0.1618 0.8382 0.7427
Ag: 0.5000 0.5000 0.2588
Ag: 0.5000 0.5000 0.7412
Ag: 0.8382 0.1618 0.2573
Ag: 0.8382 0.1618 0.7427

(2)
Structure and theoretical powder diffraction line list of NpTaN4 (a DFT-relaxed cell (PBE, Alexandria); Cu Kα, 1.54184 Å).
Lines closer than 0.1° are merged.

Most intense lines, 2θ = 10–80°, by angle:
2theta	intensity
23.55	25
29.15	100
34.26	17
35.63	22
35.83	14
50.42	16
51.43	19
58.25	15
60.37	20
62.90	14

abc: 5.2340 5.0117 5.7504
angles: 90.00 90.00 90.00
Sites, in units of the cell vectors:
Np: 0.0000 0.0000 0.0000
Np: 0.0000 0.5000 0.5000
Ta: 0.5000 0.0000 0.3518
Ta: 0.5000 0.5000 0.8518
N: 0.1927 0.2276 0.2558
N: 0.1927 0.2724 0.7558
N: 0.3184 0.7240 0.5526
N: 0.3184 0.7760 0.0526
N: 0.6816 0.2240 0.0526
N: 0.6816 0.2760 0.5526
N: 0.8073 0.7276 0.7558
N: 0.8073 0.7724 0.2558

(3)
Structure and theoretical powder diffraction line list of Pm3RhAu (a DFT-relaxed cell (PBE, Alexandria); Cu Kα, 1.54184 Å).
Lines closer than 0.1° are merged.

Most intense lines, 2θ = 10–80°, by angle:
2theta	intensity
28.53	28
31.02	42
31.40	41
32.51	47
32.66	100
35.05	45
37.06	35
38.94	57
50.85	22
66.55	19

abc: 7.5935 4.6256 15.3664
angles: 90.00 90.00 90.00
Sites, in units of the cell vectors:
Pm: 0.0125 0.2500 0.1024
Pm: 0.1362 0.7500 0.4476
Pm: 0.1773 0.2500 0.7204
Pm: 0.3227 0.7500 0.2204
Pm: 0.3638 0.2500 0.9476
Pm: 0.4875 0.7500 0.6024
Pm: 0.5125 0.2500 0.3976
Pm: 0.6362 0.7500 0.0524
Pm: 0.6773 0.2500 0.7796
Pm: 0.8227 0.7500 0.2796
Pm: 0.8638 0.2500 0.5524
Pm: 0.9875 0.7500 0.8976
Rh: 0.2296 0.7500 0.0447
Rh: 0.2704 0.2500 0.5447
Rh: 0.7296 0.7500 0.4553
Rh: 0.7704 0.2500 0.9553
Au: 0.1147 0.2500 0.3071
Au: 0.3853 0.7500 0.8071
Au: 0.6147 0.2500 0.1929
Au: 0.8853 0.7500 0.6929

(4)
Structure and theoretical powder diffraction line list of Rh3Se (a DFT-relaxed cell (PBE, Alexandria); Cu Kα, 1.54184 Å).
Lines closer than 0.1° are merged.

Most intense lines, 2θ = 10–80°, by angle:
2theta	intensity
20.14	2
37.00	1
39.17	100
40.94	88
45.60	64
48.55	27
63.94	11
68.80	37
68.93	9
78.78	25

abc: 4.6355 4.6355 2.9119
angles: 90.00 90.00 108.00
Sites, in units of the cell vectors:
Rh: 0.0000 0.0000 0.0000
Rh: 0.0000 0.5000 0.5000
Rh: 0.5000 0.0000 0.5000
Se: 0.5000 0.5000 0.0000

(5)
Structure and theoretical powder diffraction line list of Dy3Pa (a DFT-relaxed cell (PBE, Alexandria); Cu Kα, 1.54184 Å).
Lines closer than 0.1° are merged.

Most intense lines, 2θ = 10–80°, by angle:
2theta	intensity
18.09	2
25.70	2
31.61	100
36.66	51
41.17	1
45.31	1
52.82	36
62.87	43
66.01	12
77.95	6

abc: 4.9027 4.9027 4.9027
angles: 90.00 90.00 90.00
Sites, in units of the cell vectors:
Dy: 0.0000 0.0000 0.5000
Dy: 0.0000 0.5000 0.0000
Dy: 0.5000 0.0000 0.0000
Pa: 0.5000 0.5000 0.5000

(6)
Structure and theoretical powder diffraction line list of Sm8CuIr2 (a DFT-relaxed cell (PBE, Alexandria); Cu Kα, 1.54184 Å).
Lines closer than 0.1° are merged.

Most intense lines, 2θ = 10–80°, by angle:
2theta	intensity
14.87	30
29.57	22
30.03	100
32.39	36
32.63	42
33.32	39
34.67	27
36.23	21
39.42	34
39.55	25

abc: 7.5664 7.5664 6.2416
angles: 99.68 99.68 111.14
Sites, in units of the cell vectors:
Sm: 0.0000 0.0000 0.0000
Sm: 0.0116 0.2825 0.5716
Sm: 0.1329 0.5687 0.1924
Sm: 0.2825 0.0116 0.5716
Sm: 0.4319 0.6982 0.8071
Sm: 0.5687 0.1329 0.1924
Sm: 0.6982 0.4319 0.8071
Sm: 0.7218 0.7218 0.3948
Cu: 0.3611 0.3611 0.3827
Ir: 0.0435 0.6738 0.6989
Ir: 0.6738 0.0435 0.6989

(7)
Structure and theoretical powder diffraction line list of TbFe10Si2 (a DFT-relaxed cell (PBE, Alexandria); Cu Kα, 1.54184 Å).
Lines closer than 0.1° are merged.

Most intense lines, 2θ = 10–80°, by angle:
2theta	intensity
21.57	17
30.37	14
30.54	25
37.46	17
37.65	38
43.33	25
43.61	100
43.93	72
49.35	16
72.46	17

abc: 6.3461 6.3461 6.3461
angles: 136.11 98.36 97.69
Sites, in units of the cell vectors:
Tb: 0.0000 0.0000 0.0000
Fe: 0.0000 0.0000 0.5000
Fe: 0.0000 0.5000 0.0000
Fe: 0.2102 0.5000 0.7102
Fe: 0.3550 0.0000 0.3550
Fe: 0.3611 0.3611 0.0000
Fe: 0.5000 0.0000 0.0000
Fe: 0.5000 0.5000 0.5000
Fe: 0.6389 0.6389 0.0000
Fe: 0.6450 0.0000 0.6450
Fe: 0.7898 0.5000 0.2898
Si: 0.2353 0.7353 0.5000
Si: 0.7647 0.2647 0.5000

(8)
Structure and theoretical powder diffraction line list of La3Al5 (a DFT-relaxed cell (PBE, Alexandria); Cu Kα, 1.54184 Å).
Lines closer than 0.1° are merged.

Most intense lines, 2θ = 10–80°, by angle:
2theta	intensity
15.39	23
22.33	27
23.26	32
25.01	100
31.07	48
32.45	70
33.91	65
35.66	42
36.56	32
37.03	21

abc: 8.5624 8.5624 8.1778
angles: 94.78 94.78 136.56
Sites, in units of the cell vectors:
La: 0.1612 0.8388 0.0000
La: 0.1702 0.1702 0.6690
La: 0.2268 0.7732 0.5000
La: 0.7732 0.2268 0.5000
La: 0.8298 0.8298 0.3310
La: 0.8388 0.1612 0.0000
Al: 0.2328 0.4075 0.3603
Al: 0.2806 0.5930 0.8334
Al: 0.3322 0.3322 0.0744
Al: 0.4070 0.7194 0.1666
Al: 0.4075 0.2328 0.3603
Al: 0.5925 0.7672 0.6397
Al: 0.5930 0.2806 0.8334
Al: 0.6678 0.6678 0.9256
Al: 0.7194 0.4070 0.1666
Al: 0.7672 0.5925 0.6397

(9)
Structure and theoretical powder diffraction line list of Ba2CrTe (a DFT-relaxed cell (PBE, Alexandria); Cu Kα, 1.54184 Å).
Lines closer than 0.1° are merged.

Most intense lines, 2θ = 10–80°, by angle:
2theta	intensity
26.84	100
27.35	22
27.48	49
33.13	29
33.24	58
36.85	25
37.17	25
46.81	32
52.57	18
60.94	19

abc: 4.8378 6.9640 6.9640
angles: 41.00 90.00 90.00
Sites, in units of the cell vectors:
Ba: 0.0000 0.0000 0.0000
Ba: 0.5000 0.2845 0.2845
Cr: 0.5000 0.5727 0.5727
Te: 0.0000 0.7100 0.7100

(10)
Structure and theoretical powder diffraction line list of Ce2Al3SiAu4 (a DFT-relaxed cell (PBE, Alexandria); Cu Kα, 1.54184 Å).
Lines closer than 0.1° are merged.

Most intense lines, 2θ = 10–80°, by angle:
2theta	intensity
25.97	31
26.54	36
29.81	88
33.02	68
33.48	100
40.73	76
45.62	31
53.39	36
58.96	26
69.54	24

abc: 4.4306 4.4306 10.2944
angles: 90.00 90.00 90.00
Sites, in units of the cell vectors:
Ce: 0.0000 0.5000 0.2458
Ce: 0.5000 0.0000 0.7542
Al: 0.0000 0.0000 0.0000
Al: 0.0000 0.5000 0.6317
Al: 0.5000 0.0000 0.3683
Si: 0.5000 0.5000 0.0000
Au: 0.0000 0.0000 0.5000
Au: 0.0000 0.5000 0.8756
Au: 0.5000 0.0000 0.1244
Au: 0.5000 0.5000 0.5000

(11)
Structure and theoretical powder diffraction line list of Tb9Tm4Zn11 (a DFT-relaxed cell (PBE, Alexandria); Cu Kα, 1.54184 Å).
Lines closer than 0.1° are merged.

Most intense lines, 2θ = 10–80°, by angle:
2theta	intensity
25.87	34
34.52	100
34.96	84
36.09	32
36.49	86
39.49	31
43.63	27
63.11	31
64.73	28
64.98	28

abc: 13.0718 13.0718 3.4437
angles: 90.00 90.00 107.85
Sites, in units of the cell vectors:
Tb: 0.0000 0.0000 0.0000
Tb: 0.1233 0.6484 0.0000
Tb: 0.2948 0.4752 0.0000
Tb: 0.3516 0.8767 0.0000
Tb: 0.4752 0.2948 0.0000
Tb: 0.5248 0.7052 0.0000
Tb: 0.6484 0.1233 0.0000
Tb: 0.7052 0.5248 0.0000
Tb: 0.8767 0.3516 0.0000
Tm: 0.0799 0.2548 0.0000
Tm: 0.2548 0.0799 0.0000
Tm: 0.7452 0.9201 0.0000
Tm: 0.9201 0.7452 0.0000
Zn: 0.0832 0.4453 0.5000
Zn: 0.1296 0.8704 0.5000
Zn: 0.2757 0.2757 0.5000
Zn: 0.3256 0.6744 0.5000
Zn: 0.4453 0.0832 0.5000
Zn: 0.5000 0.5000 0.5000
Zn: 0.5547 0.9168 0.5000
Zn: 0.6744 0.3256 0.5000
Zn: 0.7243 0.7243 0.5000
Zn: 0.8704 0.1296 0.5000
Zn: 0.9168 0.5547 0.5000

(12)
Structure and theoretical powder diffraction line list of DyMgAl4 (a DFT-relaxed cell (PBE, Alexandria); Cu Kα, 1.54184 Å).
Lines closer than 0.1° are merged.

Most intense lines, 2θ = 10–80°, by angle:
2theta	intensity
10.05	100
21.10	44
27.51	46
32.35	50
33.95	37
35.88	70
38.42	56
38.94	39
45.35	18
60.01	30

abc: 5.5354 5.5354 8.8022
angles: 90.00 90.00 120.00
Sites, in units of the cell vectors:
Dy: 0.3333 0.6667 0.4301
Dy: 0.6667 0.3333 0.5699
Mg: 0.3333 0.6667 0.0565
Mg: 0.6667 0.3333 0.9435
Al: 0.0000 0.0000 0.0000
Al: 0.0000 0.0000 0.5000
Al: 0.1711 0.3422 0.7516
Al: 0.1711 0.8289 0.7516
Al: 0.3422 0.1711 0.2484
Al: 0.6578 0.8289 0.7516
Al: 0.8289 0.1711 0.2484
Al: 0.8289 0.6578 0.2484

(13)
Structure and theoretical powder diffraction line list of CaTa3O7 (a DFT-relaxed cell (PBE, Alexandria); Cu Kα, 1.54184 Å).
Lines closer than 0.1° are merged.

Most intense lines, 2θ = 10–80°, by angle:
2theta	intensity
17.49	100
26.91	66
28.71	49
33.94	60
35.52	60
41.17	36
45.12	25
54.29	48
59.68	18
63.79	16

abc: 5.5415 5.5415 5.5415
angles: 104.34 104.34 104.34
Sites, in units of the cell vectors:
Ca: 0.0000 0.0000 0.0000
Ta: 0.2751 0.6155 0.6155
Ta: 0.6155 0.2751 0.6155
Ta: 0.6155 0.6155 0.2751
O: 0.3168 0.3168 0.3168
O: 0.3607 0.9053 0.9053
O: 0.4218 0.4218 0.8602
O: 0.4218 0.8602 0.4218
O: 0.8602 0.4218 0.4218
O: 0.9053 0.3607 0.9053
O: 0.9053 0.9053 0.3607